# K2TlCdBr6
Calculated X-ray diffraction stick pattern, a wavelength of 1.5418 Å. Input: a structure optimized by DFT (GGA-PBE).
Kinematic intensities with the Lorentz-polarization factor, no thermal factor.

Structural model:
Cell: 7.706 8.093 13.501 Å, 90.00 124.79 90.00°
Atoms (fractional coordinates):
1 K 0.222 0.078 0.249
2 K 0.222 0.422 0.749
3 K 0.778 0.578 0.251
4 K 0.778 0.922 0.751
5 Tl 0.500 0.000 0.000
6 Tl 0.500 0.500 0.500
7 Cd 0.000 0.000 0.500
8 Cd 0.000 0.500 0.000
9 Br 0.133 0.208 0.945
10 Br 0.133 0.292 0.445
11 Br 0.244 0.689 0.949
12 Br 0.244 0.811 0.449
13 Br 0.347 0.026 0.741
14 Br 0.347 0.474 0.241
15 Br 0.653 0.526 0.759
16 Br 0.653 0.974 0.259
17 Br 0.756 0.189 0.551
18 Br 0.756 0.311 0.051
19 Br 0.867 0.708 0.555
20 Br 0.867 0.792 0.055

Most intense lines, 10° ≤ 2θ ≤ 80°, sorted by position:
2θ/deg	Rel. int.
15.88	100
15.99	46
22.61	43
26.75	35
32.08	58
32.30	33
35.25	33
36.03	38
36.19	38
40.27	46